For Sm2GeSb4, a crystal structure in Alexandria, relaxed with PBE gives the theoretical powder XRD pattern in this record (CuKα).
No peak broadening, texture or thermal motion is included.

Atomic structure:
```
Sm2GeSb4
1.0
4.319 0.000 0.000
0.000 4.319 0.000
0.000 0.000 10.959
Sm Ge Sb
2 1 4
Cartesian
0.000 2.160 2.465
2.160 0.000 8.493
0.000 0.000 5.479
0.000 0.000 0.000
0.000 2.160 7.391
2.160 0.000 3.567
2.160 2.160 0.000
```

Top 6 peaks for 10° ≤ 2θ ≤ 90°, in order of rising 2θ:
2θ 26.27, d 3.392, intensity 31; 2θ 30.38, d 2.942, intensity 13; 2θ 33.59, d 2.668, intensity 100; 2θ 38.93, d 2.314, intensity 21; 2θ 41.83, d 2.160, intensity 36; 2θ 71.14, d 1.325, intensity 22


For SrGe3Sb, a crystal structure in Alexandria, relaxed with PBE gives the theoretical powder XRD pattern in this record (CuKα).
No peak broadening, texture or thermal motion is included.

Atomic structure:
```
SrGe3Sb
1.0
5.392 0.000 0.000
0.000 5.392 0.000
0.000 0.000 5.392
Sr Ge Sb
1 3 1
Cartesian
0.000 0.000 0.000
0.000 2.696 2.696
2.696 0.000 2.696
2.696 2.696 0.000
2.696 2.696 2.696
```

Top 6 peaks for 10° ≤ 2θ ≤ 90°, in order of rising 2θ:
2θ 16.44, d 5.392, intensity 35; 2θ 23.33, d 3.812, intensity 47; 2θ 28.68, d 3.113, intensity 39; 2θ 33.23, d 2.696, intensity 100; 2θ 47.71, d 1.906, intensity 71; 2θ 79.50, d 1.206, intensity 31


For Tb8GeSb5, a crystal structure in Alexandria, relaxed with PBE gives the theoretical powder XRD pattern in this record (CuKα).
No peak broadening, texture or thermal motion is included.

Atomic structure:
```
Tb8GeSb5
1.0
-4.573 4.573 4.629
4.573 -4.573 4.629
4.573 4.573 -4.629
Tb Ge Sb
8 1 5
Cartesian
3.926 2.967 -2.757
3.920 1.750 0.480
2.822 -0.653 4.149
0.646 1.605 1.872
1.750 5.225 -0.480
1.605 -0.646 7.386
0.653 2.822 5.109
2.967 5.219 2.757
0.000 0.000 4.629
2.302 -1.100 1.129
5.673 -2.270 3.500
6.843 1.100 1.129
3.472 2.270 3.500
0.000 4.573 2.314
```

Top 6 peaks for 10° ≤ 2θ ≤ 90°, in order of rising 2θ:
2θ 30.57, d 2.924, intensity 48; 2θ 30.90, d 2.894, intensity 100; 2θ 36.47, d 2.463, intensity 42; 2θ 36.69, d 2.449, intensity 58; 2θ 48.68, d 1.871, intensity 19; 2θ 62.57, d 1.485, intensity 18


For Tb5Ge2Sb, a crystal structure in Alexandria, relaxed with PBE gives the theoretical powder XRD pattern in this record (CuKα).
No peak broadening, texture or thermal motion is included.

Atomic structure:
```
Tb5Ge2Sb
1.0
-3.946 3.946 6.770
3.946 -3.946 6.770
3.946 3.946 -6.770
Tb Ge Sb
10 4 2
Cartesian
0.000 0.000 0.000
5.184 1.238 -1.924
1.238 2.708 -1.924
5.184 1.238 1.924
1.238 2.708 1.924
0.000 0.000 6.770
2.708 1.238 4.845
-1.238 2.708 4.845
2.708 1.238 8.694
-1.238 2.708 8.694
2.796 1.149 0.000
2.796 -1.149 6.770
1.149 5.095 0.000
1.149 2.796 6.770
0.000 0.000 3.385
0.000 0.000 10.154
```

Top 6 peaks for 10° ≤ 2θ ≤ 90°, in order of rising 2θ:
2θ 30.90, d 2.894, intensity 29; 2θ 32.20, d 2.780, intensity 100; 2θ 34.93, d 2.569, intensity 29; 2θ 35.99, d 2.495, intensity 61; 2θ 51.86, d 1.763, intensity 24; 2θ 67.15, d 1.394, intensity 22


For TlTcGeSb2, a crystal structure in Alexandria, relaxed with PBE gives the theoretical powder XRD pattern in this record (CuKα).
No peak broadening, texture or thermal motion is included.

Atomic structure:
```
TlTcGeSb2
1.0
5.685 0.000 0.000
0.000 5.685 0.000
0.000 0.000 5.144
Tl Tc Ge Sb
1 1 1 2
Cartesian
0.000 0.000 0.000
2.843 2.843 2.572
0.000 0.000 2.572
0.000 2.843 0.000
2.843 0.000 0.000
```

Top 6 peaks for 10° ≤ 2θ ≤ 90°, in order of rising 2θ:
2θ 15.59, d 5.685, intensity 41; 2θ 17.24, d 5.144, intensity 39; 2θ 23.32, d 3.815, intensity 56; 2θ 31.47, d 2.843, intensity 100; 2θ 34.88, d 2.572, intensity 38; 2θ 47.68, d 1.907, intensity 63


For Ge4SbTe5, a crystal structure in Alexandria, relaxed with PBE gives the theoretical powder XRD pattern in this record (CuKα).
No peak broadening, texture or thermal motion is included.

Atomic structure:
```
Ge4SbTe5
1.0
-2.097 3.036 10.962
2.097 -3.036 10.962
2.097 3.036 -10.962
Ge Sb Te
4 1 5
Cartesian
0.000 0.000 2.232
0.000 0.000 6.512
0.000 0.000 15.411
0.000 0.000 19.691
0.000 0.000 10.962
2.097 0.000 0.000
2.097 0.000 4.354
2.097 0.000 8.634
0.000 3.036 2.328
0.000 3.036 6.608
```

Top 6 peaks for 10° ≤ 2θ ≤ 90°, in order of rising 2θ:
2θ 29.45, d 3.033, intensity 100; 2θ 41.17, d 2.192, intensity 13; 2θ 42.13, d 2.145, intensity 50; 2θ 51.41, d 1.777, intensity 13; 2θ 53.08, d 1.725, intensity 13; 2θ 69.26, d 1.357, intensity 22


For GeSb2Te4, a crystal structure in Alexandria, relaxed with PBE gives the theoretical powder XRD pattern in this record (CuKα).
No peak broadening, texture or thermal motion is included.

Atomic structure:
```
GeSb2Te4
1.0
2.148 1.240 14.117
-2.148 1.240 14.117
0.000 -2.480 14.117
Ge Sb Te
1 2 4
Cartesian
0.000 0.000 0.000
0.000 0.000 18.050
0.000 0.000 36.188
0.000 0.000 5.912
0.000 0.000 12.714
0.000 0.000 23.784
0.000 0.000 30.432
```

Top 6 peaks for 10° ≤ 2θ ≤ 90°, in order of rising 2θ:
2θ 28.16, d 3.169, intensity 100; 2θ 38.35, d 2.347, intensity 32; 2θ 42.06, d 2.148, intensity 37; 2θ 51.39, d 1.778, intensity 19; 2θ 58.22, d 1.585, intensity 10; 2θ 68.50, d 1.370, intensity 15


For GeSb2Te4, a crystal structure in Alexandria, relaxed with PBE gives the theoretical powder XRD pattern in this record (CuKα).
No peak broadening, texture or thermal motion is included.

Atomic structure:
```
GeSb2Te4
1.0
2.153 1.243 14.044
-2.153 1.243 14.044
0.000 -2.486 14.044
Ge Sb Te
1 2 4
Cartesian
0.000 0.000 0.000
0.000 0.000 17.765
0.000 0.000 24.366
0.000 0.000 5.434
0.000 0.000 12.342
0.000 0.000 29.789
0.000 0.000 36.697
```

Top 6 peaks for 10° ≤ 2θ ≤ 90°, in order of rising 2θ:
2θ 28.15, d 3.170, intensity 100; 2θ 38.44, d 2.342, intensity 26; 2θ 41.97, d 2.153, intensity 43; 2θ 43.87, d 2.064, intensity 15; 2θ 51.30, d 1.781, intensity 19; 2θ 68.37, d 1.372, intensity 16


For Y8GeSb3Te4, a crystal structure in Alexandria, relaxed with PBE gives the theoretical powder XRD pattern in this record (CuKα).
No peak broadening, texture or thermal motion is included.

Atomic structure:
```
Y8GeSb3Te4
1.0
4.357 2.515 7.149
-4.357 2.515 7.149
0.000 -5.031 7.149
Y Ge Sb Te
8 1 3 4
Cartesian
0.000 0.000 5.279
-2.087 -1.205 12.366
0.000 -2.410 9.081
-2.087 1.205 9.081
2.087 -1.205 12.366
0.000 2.410 12.366
2.087 1.205 9.081
0.000 0.000 16.168
0.000 0.000 10.724
-4.357 0.000 10.724
-2.178 1.258 3.575
2.178 1.258 3.575
0.000 0.000 0.000
-2.178 -1.258 7.149
-2.178 1.258 14.298
0.000 2.515 7.149
```

Top 6 peaks for 10° ≤ 2θ ≤ 90°, in order of rising 2θ:
2θ 28.94, d 3.086, intensity 100; 2θ 41.31, d 2.185, intensity 36; 2θ 41.45, d 2.178, intensity 37; 2θ 51.34, d 1.780, intensity 19; 2θ 68.03, d 1.378, intensity 16; 2θ 75.55, d 1.259, intensity 17


For Th8Ge4Sb3, a crystal structure in Alexandria, relaxed with PBE gives the theoretical powder XRD pattern in this record (CuKα).
No peak broadening, texture or thermal motion is included.

Atomic structure:
```
Th8Ge4Sb3
1.0
6.175 -6.186 0.000
6.175 6.186 0.000
-6.138 0.000 6.193
Th Ge Sb
8 4 3
Cartesian
-3.149 0.000 6.097
-0.024 0.000 3.010
6.175 3.185 0.000
3.106 3.166 3.097
3.106 -3.166 3.097
6.175 -3.185 0.000
6.236 0.000 3.184
9.361 0.000 0.096
0.000 0.000 0.000
-3.069 0.000 3.097
0.018 3.093 3.097
0.018 -3.093 3.097
3.087 3.093 0.000
3.087 -3.093 0.000
6.175 0.000 0.000
```

Top 6 peaks for 10° ≤ 2θ ≤ 90°, in order of rising 2θ:
2θ 24.89, d 3.578, intensity 19; 2θ 24.99, d 3.564, intensity 20; 2θ 28.87, d 3.092, intensity 100; 2θ 41.23, d 2.190, intensity 38; 2θ 41.32, d 2.185, intensity 26; 2θ 67.69, d 1.384, intensity 14


For Th4GeSb4, a crystal structure in Alexandria, relaxed with PBE gives the theoretical powder XRD pattern in this record (CuKα).
No peak broadening, texture or thermal motion is included.

Atomic structure:
```
Th4GeSb4
1.0
-4.146 4.146 4.269
4.146 -4.146 4.269
4.146 4.146 -4.269
Th Ge Sb
4 1 4
Cartesian
2.202 2.202 -1.161
1.944 -1.944 5.430
1.944 1.944 3.107
-1.944 1.944 5.430
0.000 0.000 4.269
4.146 0.000 0.000
0.000 0.000 1.469
0.000 4.146 0.000
0.000 0.000 7.068
```

Top 6 peaks for 10° ≤ 2θ ≤ 90°, in order of rising 2θ:
2θ 25.82, d 3.451, intensity 100; 2θ 30.49, d 2.932, intensity 78; 2θ 40.37, d 2.234, intensity 58; 2θ 43.66, d 2.073, intensity 28; 2θ 47.94, d 1.898, intensity 26; 2θ 66.84, d 1.400, intensity 17


For Th4GeSb, a crystal structure in Alexandria, relaxed with PBE gives the theoretical powder XRD pattern in this record (CuKα).
No peak broadening, texture or thermal motion is included.

Atomic structure:
```
Th4GeSb
1.0
7.537 0.000 0.000
0.000 7.537 0.000
0.000 0.000 6.224
Th Ge Sb
8 2 2
Cartesian
1.145 2.488 0.000
1.145 5.049 3.112
2.488 1.145 3.112
2.488 6.392 0.000
5.049 1.145 0.000
5.049 6.392 3.112
6.392 2.488 3.112
6.392 5.049 0.000
0.000 0.000 1.556
0.000 0.000 4.668
3.768 3.768 1.556
3.768 3.768 4.668
```

Top 6 peaks for 10° ≤ 2θ ≤ 90°, in order of rising 2θ:
2θ 30.15, d 2.964, intensity 100; 2θ 33.34, d 2.687, intensity 17; 2θ 37.48, d 2.400, intensity 21; 2θ 37.74, d 2.383, intensity 26; 2θ 51.74, d 1.767, intensity 23; 2θ 59.96, d 1.543, intensity 18


Which formula does entry 8 have? GeSb2Te4


What is the formula in the eleventh record? Th4GeSb4